[1]
Theoretical powder X-ray diffraction pattern of Tb6ScSn10 for copper Kα, from a crystal structure in Alexandria, relaxed with GGA-PBE.
Lines closer than 0.1° are merged.

a = 9.1692 Å, b = 9.1692 Å, c = 6.2880 Å
α = 90.00°, β = 90.00°, γ = 120.00°
Atoms (fractional coordinates):
Tb 0.0000 0.3918 0.2624
Tb 0.0000 0.6082 0.7376
Tb 0.3918 0.0000 0.2624
Tb 0.3918 0.3918 0.7376
Tb 0.6082 0.0000 0.7376
Tb 0.6082 0.6082 0.2624
Sc 0.0000 0.0000 0.5000
Sn 0.0000 0.2459 0.8033
Sn 0.0000 0.7541 0.1967
Sn 0.2459 0.0000 0.8033
Sn 0.2459 0.2459 0.1967
Sn 0.3333 0.6667 0.0000
Sn 0.3333 0.6667 0.5000
Sn 0.6667 0.3333 0.0000
Sn 0.6667 0.3333 0.5000
Sn 0.7541 0.0000 0.1967
Sn 0.7541 0.7541 0.8033

Main lines, in order of rising 2θ (10° ≤ 2θ ≤ 90°):
2θ (°)  Rel. int.
28.39  15.5
29.77  20.8
33.07  100.0
33.87  55.5
34.59  84.6
43.54  21.2
49.19  18.5
53.31  15.5
61.04  16.7
65.89  17.0



[2]
Theoretical powder X-ray diffraction pattern of PmHgTe2O8 for copper Kα, from a crystal structure in Alexandria, relaxed with GGA-PBE.
Lines closer than 0.1° are merged.

a = 6.3617 Å, b = 6.3617 Å, c = 6.3617 Å
α = 107.20°, β = 107.20°, γ = 114.12°
Atoms (fractional coordinates):
Pm 0.0000 0.0000 0.0000
Hg 0.7500 0.2500 0.5000
Te 0.2500 0.7500 0.5000
Te 0.5000 0.5000 0.0000
O 0.0785 0.3876 0.3091
O 0.0785 0.7693 0.6909
O 0.1289 0.3121 0.8168
O 0.2307 0.9215 0.3091
O 0.4953 0.3121 0.1832
O 0.6124 0.9215 0.6909
O 0.6879 0.5047 0.8168
O 0.6879 0.8711 0.1832

Main lines, in order of rising 2θ (10° ≤ 2θ ≤ 90°):
2θ (°)  Rel. int.
23.57  100.0
30.80  84.4
33.57  26.7
46.20  66.6
48.21  16.6
54.34  16.8
58.31  19.0
58.71  15.1
68.99  16.5
78.94  13.1



[3]
Theoretical powder X-ray diffraction pattern of TbEr4Pt4 for copper Kα, from a crystal structure in Alexandria, relaxed with GGA-PBE.
Lines closer than 0.1° are merged.

a = 8.9887 Å, b = 8.9887 Å, c = 5.6803 Å
α = 90.00°, β = 90.00°, γ = 90.00°
Atoms (fractional coordinates):
Tb 0.2500 0.2500 0.2500
Tb 0.7500 0.7500 0.7500
Er 0.0784 0.6531 0.1660
Er 0.1531 0.9216 0.6660
Er 0.3469 0.5784 0.6660
Er 0.4216 0.8469 0.1660
Er 0.5784 0.1531 0.8340
Er 0.6531 0.4216 0.3340
Er 0.8469 0.0784 0.3340
Er 0.9216 0.3469 0.8340
Pt 0.0361 0.6257 0.6663
Pt 0.1257 0.9639 0.1663
Pt 0.3743 0.5361 0.1663
Pt 0.4639 0.8743 0.6663
Pt 0.5361 0.1257 0.3337
Pt 0.6257 0.4639 0.8337
Pt 0.8743 0.0361 0.8337
Pt 0.9639 0.3743 0.3337

Main lines, in order of rising 2θ (10° ≤ 2θ ≤ 90°):
2θ (°)  Rel. int.
13.93  13.2
18.48  13.8
31.48  100.0
33.08  32.1
38.82  17.0
39.47  15.5
43.93  20.3
45.12  47.1
48.59  19.3
74.68  13.4



[4]
Theoretical powder X-ray diffraction pattern of NaHoCd6 for copper Kα, from a crystal structure in Alexandria, relaxed with GGA-PBE.
Lines closer than 0.1° are merged.

a = 5.0366 Å, b = 6.5660 Å, c = 6.5660 Å
α = 60.37°, β = 90.00°, γ = 90.00°
Atoms (fractional coordinates):
Na 0.0000 0.0000 0.0000
Ho 0.5000 0.6713 0.6713
Cd 0.0000 0.0098 0.4968
Cd 0.0000 0.4968 0.0098
Cd 0.0000 0.5009 0.5009
Cd 0.5000 0.1721 0.1721
Cd 0.5000 0.1763 0.6598
Cd 0.5000 0.6598 0.1763

Main lines, in order of rising 2θ (10° ≤ 2θ ≤ 90°):
2θ (°)  Rel. int.
15.56  16.4
31.35  25.5
35.65  34.4
36.18  100.0
36.34  48.5
48.19  15.0
56.03  18.5
64.39  17.6
68.20  19.2
68.33  14.1



[5]
Theoretical powder X-ray diffraction pattern of Pm2Ge3RuPt4 for copper Kα, from a crystal structure in Alexandria, relaxed with GGA-PBE.
Lines closer than 0.1° are merged.

a = 4.2632 Å, b = 4.2632 Å, c = 10.5391 Å
α = 90.00°, β = 90.00°, γ = 90.00°
Atoms (fractional coordinates):
Pm 0.0000 0.5000 0.2499
Pm 0.5000 0.0000 0.7501
Ge 0.0000 0.0000 0.0000
Ge 0.0000 0.5000 0.6320
Ge 0.5000 0.0000 0.3680
Ru 0.5000 0.5000 0.0000
Pt 0.0000 0.0000 0.5000
Pt 0.0000 0.5000 0.8627
Pt 0.5000 0.0000 0.1373
Pt 0.5000 0.5000 0.5000

Main lines, in order of rising 2θ (10° ≤ 2θ ≤ 90°):
2θ (°)  Rel. int.
33.04  44.2
34.27  100.0
42.40  62.4
45.73  31.8
48.16  26.9
54.78  21.1
61.52  20.8
66.08  20.9
72.35  23.0
86.93  20.3



[6]
Theoretical powder X-ray diffraction pattern of AgSnF4 for copper Kα, from a crystal structure in Alexandria, relaxed with GGA-PBE.
Lines closer than 0.1° are merged.

a = 6.0417 Å, b = 6.1042 Å, c = 6.3624 Å
α = 90.00°, β = 90.00°, γ = 90.00°
Atoms (fractional coordinates):
Ag 0.0000 0.0000 0.0000
Ag 0.5000 0.5000 0.0000
Sn 0.0000 0.0000 0.5000
Sn 0.5000 0.0000 0.0000
F 0.1890 0.1961 0.3383
F 0.1890 0.8039 0.6617
F 0.2759 0.2216 0.8143
F 0.2759 0.7784 0.1857
F 0.7241 0.2216 0.1857
F 0.7241 0.7784 0.8143
F 0.8110 0.1961 0.6617
F 0.8110 0.8039 0.3383

Main lines, in order of rising 2θ (10° ≤ 2θ ≤ 90°):
2θ (°)  Rel. int.
13.92  62.8
14.51  100.0
20.27  79.9
20.69  60.8
28.05  36.6
35.11  36.7
40.98  55.8
41.21  54.6
42.09  58.4
51.34  32.4



Question: Number 4 is which compound?
Answer: NaHoCd6